Computed powder XRD pattern of Sr2La2Cr3MoO12 for Cu Kα, 1.54184 Å, from a PBE+U-relaxed structure.
Kinematic intensities with the Lorentz-polarization factor, no thermal factor.

Largest 10 diffraction maxima, by angle, 10 to 90 degrees two-theta:
2θ/deg  I (rel.)
31.6  31
32.0  100
32.1  66
39.5  12
45.5  44
46.4  19
56.5  14
56.6  14
57.0  25
57.4  14

Structure:
a = 9.6538 Å, b = 5.6069 Å, c = 9.6789 Å
α = 90.00°, β = 108.28°, γ = 90.00°
Space group C2/m (No. 12)
Asymmetric unit:
1 Sr 0.1205 0.0000 0.3633 (multiplicity 4)
2 La 0.1206 0.5000 0.8787 (multiplicity 4)
3 Cr 0.0000 0.0000 0.0000 (multiplicity 2)
4 Cr 0.2482 0.5000 0.2464 (multiplicity 4)
5 Mo 0.0000 0.5000 0.5000 (multiplicity 2)
6 O 0.1003 0.2574 0.1406 (multiplicity 8)
7 O 0.1100 0.2552 0.6490 (multiplicity 8)
8 O 0.1528 0.5000 0.4100 (multiplicity 4)
9 O 0.1658 0.0000 0.9152 (multiplicity 4)